The following is a calculated powder XRD pattern of LiCu14Si. It was derived from a structure optimized by DFT (GGA-PBE), using Cu Kα X-rays.
Kinematic intensities with the Lorentz-polarization factor, no thermal factor.

Cell: 8.348 5.114 5.114 Å, 61.28 90.00 90.00°
Sites, in units of the cell vectors:
Li1 0.000 0.000 0.000
Cu1 0.000 0.000 0.501
Cu2 0.000 0.501 0.000
Cu3 0.246 0.332 0.332
Cu4 0.248 0.329 0.830
Cu5 0.248 0.830 0.329
Cu6 0.255 0.829 0.829
Cu7 0.500 0.161 0.161
Cu8 0.500 0.163 0.659
Cu9 0.500 0.659 0.163
Cu10 0.500 0.659 0.659
Cu11 0.745 0.829 0.829
Cu12 0.752 0.329 0.830
Cu13 0.752 0.830 0.329
Cu14 0.754 0.332 0.332
Si1 0.000 0.505 0.505

Largest 6 diffraction maxima, most intense first, 5 to 70 degrees two-theta:
d 1.975, I = 100; d 2.087, I = 47; d 1.946, I = 42; d 2.166, I = 31; d 2.127, I = 17; d 1.746, I = 15